ErAg3: calculated PXRD pattern (copper Kα), based on a structure optimized by DFT (PBE).

Main lines, low angle first (10 to 80 degrees two-theta):
2θ = 24.41°, I = 5
2θ = 33.39°, I = 24
2θ = 36.15°, I = 26
2θ = 38.11°, I = 100
2θ = 50.03°, I = 15
2θ = 59.68°, I = 17
2θ = 66.31°, I = 19
2θ = 71.80°, I = 19
2θ = 73.04°, I = 14
2θ = 76.70°, I = 3

Atomic structure:
Unit cell a=6.197 b=6.197 c=4.970 alpha=90.00 beta=90.00 gamma=120.00
Atoms (fractional coordinates):
Er 0.333 0.667 0.250
Er 0.667 0.333 0.750
Ag 0.161 0.322 0.750
Ag 0.161 0.839 0.750
Ag 0.322 0.161 0.250
Ag 0.678 0.839 0.750
Ag 0.839 0.161 0.250
Ag 0.839 0.678 0.250

***

LiCuP4Ru2O14: calculated PXRD pattern (copper Kα), based on a structure optimized by DFT (PBE).

Main lines, low angle first (10 to 80 degrees two-theta):
2θ = 16.64°, I = 66
2θ = 17.80°, I = 50
2θ = 19.69°, I = 41
2θ = 22.08°, I = 26
2θ = 22.40°, I = 56
2θ = 24.38°, I = 30
2θ = 26.41°, I = 61
2θ = 28.97°, I = 100
2θ = 29.07°, I = 69
2θ = 36.06°, I = 34

Atomic structure:
Unit cell a=4.947 b=6.822 c=8.442 alpha=93.21 beta=92.01 gamma=107.11
Atoms (fractional coordinates):
Li 0.000 0.000 0.000
Cu 0.523 0.800 0.660
P 0.149 0.045 0.363
P 0.508 0.142 0.900
P 0.561 0.454 0.440
P 0.935 0.551 0.980
Ru 0.033 0.299 0.668
Ru 0.533 0.795 0.176
O 0.028 0.551 0.808
O 0.042 0.044 0.532
O 0.168 0.574 0.109
O 0.252 0.210 0.849
O 0.335 0.275 0.331
O 0.338 0.902 0.353
O 0.390 0.516 0.579
O 0.394 0.971 0.011
O 0.676 0.076 0.764
O 0.677 0.628 0.335
O 0.731 0.322 0.007
O 0.758 0.703 0.996
O 0.793 0.367 0.497
O 0.918 0.011 0.228

***

KMgH9C2O10: calculated PXRD pattern (copper Kα), based on a structure optimized by DFT (PBE).

Main lines, low angle first (10 to 80 degrees two-theta):
2θ = 20.55°, I = 46
2θ = 24.99°, I = 70
2θ = 25.92°, I = 57
2θ = 28.23°, I = 47
2θ = 30.10°, I = 49
2θ = 30.55°, I = 100
2θ = 35.67°, I = 38
2θ = 37.73°, I = 41
2θ = 41.74°, I = 59
2θ = 43.18°, I = 41

Atomic structure:
Unit cell a=5.357 b=6.735 c=7.129 alpha=114.69 beta=91.10 gamma=107.31
Atoms (fractional coordinates):
K 0.000 0.000 0.000
Mg 0.500 0.500 0.500
H 0.000 0.500 0.000
H 0.001 0.670 0.424
H 0.201 0.205 0.601
H 0.364 0.741 0.868
H 0.427 0.914 0.758
H 0.573 0.086 0.242
H 0.636 0.259 0.132
H 0.799 0.795 0.399
H 0.999 0.330 0.576
C 0.370 0.695 0.203
C 0.630 0.305 0.797
O 0.141 0.272 0.514
O 0.201 0.667 0.047
O 0.288 0.573 0.303
O 0.397 0.156 0.754
O 0.463 0.780 0.765
O 0.537 0.220 0.235
O 0.603 0.844 0.246
O 0.712 0.427 0.697
O 0.799 0.333 0.953
O 0.859 0.728 0.486

***

Sm11In6Ge4: calculated PXRD pattern (copper Kα), based on a structure optimized by DFT (PBE).

Main lines, low angle first (10 to 80 degrees two-theta):
2θ = 30.25°, I = 19
2θ = 31.75°, I = 89
2θ = 31.93°, I = 51
2θ = 32.15°, I = 100
2θ = 32.30°, I = 25
2θ = 33.96°, I = 17
2θ = 35.45°, I = 33
2θ = 41.58°, I = 17
2θ = 46.09°, I = 18
2θ = 55.18°, I = 17

Atomic structure:
Unit cell a=11.753 b=11.753 c=11.753 alpha=119.64 beta=119.64 gamma=90.63
Atoms (fractional coordinates):
Sm 0.062 0.313 0.749
Sm 0.099 0.445 0.345
Sm 0.099 0.754 0.655
Sm 0.164 0.164 0.000
Sm 0.246 0.901 0.345
Sm 0.313 0.062 0.749
Sm 0.313 0.564 0.251
Sm 0.332 0.332 0.663
Sm 0.332 0.668 0.000
Sm 0.436 0.687 0.749
Sm 0.445 0.099 0.345
Sm 0.555 0.901 0.655
Sm 0.564 0.313 0.251
Sm 0.668 0.332 0.000
Sm 0.668 0.668 0.337
Sm 0.687 0.436 0.749
Sm 0.687 0.938 0.251
Sm 0.754 0.099 0.655
Sm 0.836 0.836 0.000
Sm 0.901 0.246 0.345
Sm 0.901 0.555 0.655
Sm 0.938 0.687 0.251
In 0.036 0.036 0.414
In 0.036 0.622 0.000
In 0.129 0.129 0.257
In 0.129 0.871 0.000
In 0.378 0.378 0.414
In 0.378 0.964 0.000
In 0.622 0.036 0.000
In 0.622 0.622 0.586
In 0.871 0.129 0.000
In 0.871 0.871 0.743
In 0.964 0.378 0.000
In 0.964 0.964 0.586
Ge 0.154 0.500 0.654
Ge 0.250 0.750 0.500
Ge 0.379 0.379 0.000
Ge 0.500 0.154 0.654
Ge 0.500 0.846 0.346
Ge 0.621 0.621 0.000
Ge 0.750 0.250 0.500
Ge 0.846 0.500 0.346

***

SrCuSeF: calculated PXRD pattern (copper Kα), based on a structure optimized by DFT (PBE).

Main lines, low angle first (10 to 80 degrees two-theta):
2θ = 29.65°, I = 100
2θ = 37.05°, I = 73
2θ = 44.25°, I = 50
2θ = 46.45°, I = 26
2θ = 51.82°, I = 29
2θ = 54.17°, I = 36
2θ = 64.37°, I = 15
2θ = 66.09°, I = 18
2θ = 76.66°, I = 15
2θ = 79.85°, I = 16

Atomic structure:
Unit cell a=4.094 b=4.094 c=8.901 alpha=90.00 beta=90.00 gamma=90.00
Atoms (fractional coordinates):
Sr 0.250 0.250 0.162
Sr 0.750 0.750 0.838
Cu 0.250 0.750 0.500
Cu 0.750 0.250 0.500
Se 0.250 0.250 0.669
Se 0.750 0.750 0.331
F 0.250 0.750 0.000
F 0.750 0.250 0.000

***

TcC5IO5: calculated PXRD pattern (copper Kα), based on a structure optimized by DFT (PBE).

Main lines, low angle first (10 to 80 degrees two-theta):
2θ = 13.85°, I = 100
2θ = 16.07°, I = 79
2θ = 21.28°, I = 88
2θ = 26.22°, I = 22
2θ = 28.17°, I = 88
2θ = 30.91°, I = 33
2θ = 31.53°, I = 38
2θ = 35.63°, I = 25
2θ = 40.17°, I = 34
2θ = 42.78°, I = 40

Atomic structure:
Unit cell a=6.869 b=6.869 c=11.027 alpha=90.00 beta=90.00 gamma=111.41
Atoms (fractional coordinates):
Tc 0.142 0.858 0.750
Tc 0.858 0.142 0.250
C 0.053 0.319 0.123
C 0.053 0.319 0.377
C 0.313 0.687 0.750
C 0.319 0.053 0.623
C 0.319 0.053 0.877
C 0.681 0.947 0.123
C 0.681 0.947 0.377
C 0.687 0.313 0.250
C 0.947 0.681 0.623
C 0.947 0.681 0.877
I 0.109 0.891 0.250
I 0.891 0.109 0.750
O 0.169 0.420 0.052
O 0.169 0.420 0.448
O 0.415 0.585 0.750
O 0.420 0.169 0.552
O 0.420 0.169 0.948
O 0.580 0.831 0.052
O 0.580 0.831 0.448
O 0.585 0.415 0.250
O 0.831 0.580 0.552
O 0.831 0.580 0.948

***

Cu3AsS4: calculated PXRD pattern (copper Kα), based on a structure optimized by DFT (PBE).

Main lines, low angle first (10 to 80 degrees two-theta):
2θ = 29.14°, I = 100
2θ = 33.77°, I = 12
2θ = 48.50°, I = 59
2θ = 57.59°, I = 40
2θ = 60.41°, I = 3
2θ = 71.03°, I = 9
2θ = 78.54°, I = 15

Atomic structure:
Unit cell a=5.309 b=5.309 c=5.309 alpha=90.00 beta=90.00 gamma=90.00
Atoms (fractional coordinates):
Cu 0.000 0.000 0.500
Cu 0.000 0.500 0.000
Cu 0.500 0.000 0.000
As 0.500 0.500 0.500
S 0.245 0.245 0.755
S 0.245 0.755 0.245
S 0.755 0.245 0.245
S 0.755 0.755 0.755

***

Nb6GaGe: calculated PXRD pattern (copper Kα), based on a structure optimized by DFT (PBE).

Main lines, low angle first (10 to 80 degrees two-theta):
2θ = 24.27°, I = 2
2θ = 34.60°, I = 28
2θ = 38.83°, I = 100
2θ = 42.71°, I = 60
2θ = 56.09°, I = 1
2θ = 62.00°, I = 10
2θ = 64.83°, I = 21
2θ = 67.60°, I = 30
2θ = 72.98°, I = 13

Atomic structure:
Unit cell a=5.185 b=5.185 c=5.185 alpha=90.00 beta=90.00 gamma=90.00
Atoms (fractional coordinates):
Nb 0.000 0.255 0.500
Nb 0.000 0.745 0.500
Nb 0.255 0.500 0.000
Nb 0.500 0.000 0.255
Nb 0.500 0.000 0.745
Nb 0.745 0.500 0.000
Ga 0.000 0.000 0.000
Ge 0.500 0.500 0.500

***

TmAl3: calculated PXRD pattern (copper Kα), based on a structure optimized by DFT (PBE).

Main lines, low angle first (10 to 80 degrees two-theta):
2θ = 21.04°, I = 97
2θ = 29.93°, I = 83
2θ = 36.87°, I = 100
2θ = 42.83°, I = 49
2θ = 48.19°, I = 46
2θ = 53.13°, I = 34
2θ = 62.18°, I = 33
2θ = 66.42°, I = 22
2θ = 70.53°, I = 15
2θ = 74.53°, I = 38

Atomic structure:
Unit cell a=4.223 b=4.223 c=4.223 alpha=90.00 beta=90.00 gamma=90.00
Atoms (fractional coordinates):
Tm 0.000 0.000 0.000
Al 0.000 0.500 0.500
Al 0.500 0.000 0.500
Al 0.500 0.500 0.000